Entry 1:
Computed X-ray powder pattern
Compound: Pr2IrRh
Radiation: Cu Kα, 1.54184 Å
Structure: a cell relaxed with GGA-PBE
Intensities are scaled so that the largest is 100.

Main lines, low angle first (2θ from 5° to 70°):
4.128 Å, 2θ = 21.53°, rel. 5; 2.528 Å, 2θ = 35.51°, rel. 100; 2.156 Å, 2θ = 41.91°, rel. 3; 1.787 Å, 2θ = 51.10°, rel. 18; 1.640 Å, 2θ = 56.07°, rel. 1; 1.459 Å, 2θ = 63.77°, rel. 36; 1.376 Å, 2θ = 68.15°, rel. 1

Structural model:
```
Pr2IrRh
1.0
0.000 3.575 3.575
3.575 0.000 3.575
3.575 3.575 0.000
Pr Ir Rh
2 1 1
direct
0.250 0.250 0.250
0.750 0.750 0.750
0.000 0.000 0.000
0.500 0.500 0.500
```

=====

Entry 2:
Computed X-ray powder pattern
Compound: Na6Bi2B4SO16
Radiation: Cu Kα, 1.54184 Å
Structure: a cell relaxed with GGA-PBE
Intensities are scaled so that the largest is 100.

Main lines, low angle first (2θ from 5° to 70°):
8.376 Å, 2θ = 10.56°, rel. 65; 4.374 Å, 2θ = 20.30°, rel. 100; 4.188 Å, 2θ = 21.21°, rel. 57; 3.627 Å, 2θ = 24.54°, rel. 28; 2.792 Å, 2θ = 32.06°, rel. 50; 2.565 Å, 2θ = 34.99°, rel. 59; 2.452 Å, 2θ = 36.64°, rel. 32; 2.187 Å, 2θ = 41.28°, rel. 46; 1.675 Å, 2θ = 54.80°, rel. 24; 1.664 Å, 2θ = 55.19°, rel. 26

Structural model:
```
Na6Bi2B4SO16
1.0
0.000 7.254 7.254
7.254 0.000 7.254
7.254 7.254 0.000
Na Bi B S O
12 4 8 2 32
direct
0.084 0.084 0.666
0.084 0.666 0.084
0.084 0.666 0.666
0.334 0.334 0.916
0.334 0.916 0.334
0.334 0.916 0.916
0.666 0.084 0.084
0.666 0.084 0.666
0.666 0.666 0.084
0.916 0.334 0.334
0.916 0.334 0.916
0.916 0.916 0.334
0.000 0.500 0.500
0.500 0.000 0.500
0.500 0.500 0.000
0.500 0.500 0.500
0.278 0.278 0.278
0.278 0.278 0.667
0.278 0.667 0.278
0.333 0.722 0.722
0.667 0.278 0.278
0.722 0.333 0.722
0.722 0.722 0.333
0.722 0.722 0.722
0.125 0.125 0.125
0.875 0.875 0.875
0.065 0.065 0.065
0.065 0.065 0.304
0.065 0.304 0.065
0.136 0.289 0.669
0.136 0.405 0.289
0.136 0.669 0.405
0.289 0.136 0.405
0.289 0.405 0.669
0.289 0.669 0.136
0.304 0.065 0.065
0.331 0.595 0.864
0.331 0.711 0.595
0.331 0.864 0.711
0.405 0.136 0.669
0.405 0.289 0.136
0.405 0.669 0.289
0.595 0.331 0.711
0.595 0.711 0.864
0.595 0.864 0.331
0.669 0.136 0.289
0.669 0.289 0.405
0.669 0.405 0.136
0.696 0.935 0.935
0.711 0.331 0.864
0.711 0.595 0.331
0.711 0.864 0.595
0.864 0.331 0.595
0.864 0.595 0.711
0.864 0.711 0.331
0.935 0.696 0.935
0.935 0.935 0.696
0.935 0.935 0.935
```